Starting from a GGA+U-relaxed structure, the X-ray powder pattern of BaCoOF2 was simulated for Cu Ka.

Cell and atoms:
```
10
Lattice="3.9502 -4.2713 0.0000 3.9502 4.2713 0.0000 -3.9077 0.0000 4.2966" Properties=species:S:1:pos:R:3 pbc="T T T"
Ba 0.0283 0.0000 2.0297
Ba 3.9645 0.0000 2.2669
Co 1.9751 2.1357 0.0000
Co 1.9751 -2.1357 0.0000
O 3.9502 2.4284 0.0000
O 3.9502 -2.4284 0.0000
F 1.9964 2.1152 2.1483
F 2.2436 0.0000 0.0409
F 1.7492 0.0000 4.2557
F 1.9964 -2.1152 2.1483
```

The 10 most intense peaks (2θ = 5–70°), by intensity:
d 2.898, 2θ 30.85, I = 100
d 3.029, 2θ 29.49, I = 66
d 2.922, 2θ 30.59, I = 32
d 1.719, 2θ 53.28, I = 27
d 2.136, 2θ 42.32, I = 26
d 2.148, 2θ 42.06, I = 26
d 1.975, 2θ 45.95, I = 20
d 2.412, 2θ 37.28, I = 19
d 2.396, 2θ 37.54, I = 18
d 1.515, 2θ 61.19, I = 15